# 1
The following is a simulated PXRD pattern of Sr4Ca4TiMn7O24. It was derived from a crystal structure in Alexandria, relaxed with PBE+U, using Cu Kα (λ = 1.5418 Å).
Intensities are scaled so that the largest is 100.

Largest 10 diffraction maxima, low angle first, 2θ = 10–90°:
- 2θ 16.3, d 5.453, I = 5
- 2θ 32.9, d 2.726, I = 100
- 2θ 40.5, d 2.225, I = 9
- 2θ 43.9, d 2.061, I = 5
- 2θ 47.2, d 1.927, I = 40
- 2θ 58.7, d 1.574, I = 39
- 2θ 68.9, d 1.363, I = 20
- 2θ 78.4, d 1.220, I = 4
- 2θ 78.5, d 1.218, I = 10
- 2θ 87.7, d 1.113, I = 6

Cell and atoms:
Unit cell a=7.7045 b=7.7045 c=7.7181 alpha=90.02 beta=90.02 gamma=90.00
Positions (direct):
Sr1 0.0000 0.0000 0.0000
Sr2 0.5010 0.9987 0.5061
Sr3 0.5017 0.5017 0.4998
Sr4 0.9987 0.5010 0.5061
Ca1 0.0199 0.5018 0.0043
Ca2 0.5018 0.0199 0.0043
Ca3 0.5050 0.5050 0.9606
Ca4 0.9969 0.9969 0.4610
Ti1 0.7457 0.7457 0.2413
Mn1 0.2488 0.2488 0.7502
Mn2 0.2497 0.7547 0.7518
Mn3 0.2532 0.7492 0.2480
Mn4 0.2542 0.2542 0.2497
Mn5 0.7492 0.2532 0.2480
Mn6 0.7541 0.7541 0.7504
Mn7 0.7547 0.2497 0.7518
O1 0.0006 0.2560 0.2141
O2 0.0006 0.2630 0.7985
O3 0.0009 0.7398 0.7913
O4 0.0043 0.7505 0.2297
O5 0.2124 0.2124 0.5048
O6 0.2201 0.7898 0.5056
O7 0.2447 0.5007 0.2904
O8 0.2527 0.4999 0.7227
O9 0.2560 0.0006 0.2141
O10 0.2630 0.0006 0.7985
O11 0.2747 0.7051 0.0042
O12 0.2888 0.2888 0.0047
O13 0.4986 0.7526 0.2752
O14 0.4999 0.2527 0.7227
O15 0.4999 0.7443 0.7288
O16 0.5007 0.2447 0.2904
O17 0.7051 0.2747 0.0042
O18 0.7258 0.7258 0.0003
O19 0.7398 0.0009 0.7913
O20 0.7443 0.4999 0.7288
O21 0.7505 0.0043 0.2297
O22 0.7526 0.4986 0.2752
O23 0.7789 0.7789 0.5088
O24 0.7898 0.2201 0.5056

# 2
The following is a simulated PXRD pattern of Sr5Ca3Ti3Mn5O24. It was derived from a crystal structure in Alexandria, relaxed with PBE+U, using Cu Kα (λ = 1.5418 Å).
Intensities are scaled so that the largest is 100.

Largest 10 diffraction maxima, low angle first, 2θ = 10–90°:
- 2θ 32.7, d 2.742, I = 100
- 2θ 32.8, d 2.731, I = 50
- 2θ 40.3, d 2.236, I = 9
- 2θ 46.9, d 1.939, I = 40
- 2θ 47.0, d 1.932, I = 20
- 2θ 58.2, d 1.585, I = 15
- 2θ 58.3, d 1.582, I = 16
- 2θ 58.4, d 1.579, I = 24
- 2θ 68.4, d 1.371, I = 21
- 2θ 68.7, d 1.365, I = 10

Cell and atoms:
Unit cell a=7.7269 b=7.7509 c=7.7588 alpha=89.98 beta=89.76 gamma=89.75
Positions (direct):
Sr1 0.0000 0.0000 0.0000
Sr2 0.9996 0.0005 0.4972
Sr3 0.5025 0.9853 0.4842
Sr4 0.5022 0.9871 0.9843
Sr5 0.9984 0.4951 0.0064
Ca1 0.5022 0.4770 0.4817
Ca2 0.5028 0.4816 0.9740
Ca3 0.9966 0.5091 0.5049
Ti1 0.2520 0.2448 0.7396
Ti2 0.2521 0.7368 0.2434
Ti3 0.2525 0.7400 0.7405
Mn1 0.2513 0.2451 0.2433
Mn2 0.7493 0.2453 0.2434
Mn3 0.7494 0.7378 0.2451
Mn4 0.7500 0.2456 0.7400
Mn5 0.7496 0.7400 0.7425
O1 0.2170 0.4893 0.2728
O2 0.2267 0.7571 0.4947
O3 0.2294 0.9932 0.7596
O4 0.2412 0.2649 0.9950
O5 0.2687 0.2261 0.4892
O6 0.2752 0.7172 0.9957
O7 0.2764 0.9954 0.2270
O8 0.2786 0.4924 0.7208
O9 0.4999 0.2907 0.2271
O10 0.5033 0.2240 0.7567
O11 0.5030 0.7112 0.2756
O12 0.5034 0.7660 0.7239
O13 0.7140 0.4928 0.7070
O14 0.7174 0.7047 0.9954
O15 0.7199 0.9930 0.2181
O16 0.7277 0.2154 0.4915
O17 0.7580 0.2778 0.9914
O18 0.7762 0.9928 0.7699
O19 0.7813 0.7664 0.4946
O20 0.7852 0.4912 0.2840
O21 0.9964 0.7127 0.7625
O22 0.9964 0.7634 0.2200
O23 0.9966 0.2735 0.7222
O24 0.9992 0.2116 0.2510

# 3
The following is a simulated PXRD pattern of SrCa7Ti3Mn5O24. It was derived from a crystal structure in Alexandria, relaxed with PBE+U, using Cu Kα (λ = 1.5418 Å).
Intensities are scaled so that the largest is 100.

Largest 10 diffraction maxima, low angle first, 2θ = 10–90°:
- 2θ 32.9, d 2.725, I = 16
- 2θ 33.1, d 2.704, I = 100
- 2θ 47.3, d 1.920, I = 36
- 2θ 47.8, d 1.903, I = 15
- 2θ 58.9, d 1.569, I = 18
- 2θ 59.2, d 1.562, I = 18
- 2θ 59.4, d 1.557, I = 9
- 2θ 69.5, d 1.353, I = 13
- 2θ 69.6, d 1.351, I = 8
- 2θ 78.9, d 1.213, I = 7

Cell and atoms:
Unit cell a=7.6810 b=7.6810 c=7.6133 alpha=90.05 beta=90.05 gamma=89.61
Positions (direct):
Sr1 0.0000 0.0000 0.0000
Ca1 0.0050 0.4970 0.5061
Ca2 0.4923 0.4923 0.5041
Ca3 0.4920 0.9938 0.0032
Ca4 0.4970 0.0050 0.5061
Ca5 0.5038 0.5038 0.0028
Ca6 0.9912 0.9912 0.5042
Ca7 0.9938 0.4920 0.0032
Ti1 0.2484 0.7465 0.2552
Ti2 0.7465 0.2484 0.2552
Ti3 0.7460 0.7460 0.2544
Mn1 0.2483 0.2483 0.2548
Mn2 0.2491 0.2491 0.7530
Mn3 0.2486 0.7462 0.7525
Mn4 0.7454 0.7454 0.7524
Mn5 0.7462 0.2486 0.7525
O1 0.0011 0.2539 0.2182
O2 0.2051 0.2051 0.5043
O3 0.2082 0.7087 0.9994
O4 0.2487 0.4948 0.2951
O5 0.2504 0.4981 0.7028
O6 0.2539 0.0011 0.2182
O7 0.2576 0.9992 0.7949
O8 0.2886 0.7838 0.5070
O9 0.2900 0.2900 0.0023
O10 0.4948 0.2487 0.2951
O11 0.4965 0.7462 0.2147
O12 0.4969 0.7465 0.8042
O13 0.4981 0.2504 0.7028
O14 0.7064 0.7064 0.5076
O15 0.7087 0.2082 0.9994
O16 0.7462 0.4965 0.2147
O17 0.7465 0.4969 0.8042
O18 0.7477 0.9975 0.2928
O19 0.7479 0.9975 0.7038
O20 0.7780 0.7780 0.9999
O21 0.7838 0.2886 0.5070
O22 0.9975 0.7477 0.2928
O23 0.9975 0.7479 0.7038
O24 0.9992 0.2576 0.7949